No. 1
Simulated powder diffraction line list
Compound: Be3Ag4P3BrO12
Radiation: Cu Kα
Structure: a GGA-PBE-relaxed structure
Peak positions follow from Bragg's law for the DFT cell and can differ from measured ones.

Top 8 peaks for 2θ from 10° to 80°, low angle first:
2θ = 14.5°, I = 11; 2θ = 25.2°, I = 100; 2θ = 32.8°, I = 14; 2θ = 39.0°, I = 24; 2θ = 44.5°, I = 72; 2θ = 51.8°, I = 12; 2θ = 64.7°, I = 16; 2θ = 66.7°, I = 12

Structural model:
a b c (Å): 8.6417 8.6417 8.6417
angles (deg): 90.00 90.00 90.00
Element x y z (fractional)
Be  0.0000  0.2500  0.5000
Be  0.0000  0.7500  0.5000
Be  0.2500  0.5000  0.0000
Be  0.5000  0.0000  0.2500
Be  0.5000  0.0000  0.7500
Be  0.7500  0.5000  0.0000
Ag  0.1733  0.1733  0.1733
Ag  0.1733  0.8267  0.8267
Ag  0.3267  0.3267  0.6733
Ag  0.3267  0.6733  0.3267
Ag  0.6733  0.3267  0.3267
Ag  0.6733  0.6733  0.6733
Ag  0.8267  0.1733  0.8267
Ag  0.8267  0.8267  0.1733
P  0.0000  0.5000  0.2500
P  0.0000  0.5000  0.7500
P  0.2500  0.0000  0.5000
P  0.5000  0.2500  0.0000
P  0.5000  0.7500  0.0000
P  0.7500  0.0000  0.5000
Br  0.0000  0.0000  0.0000
Br  0.5000  0.5000  0.5000
O  0.0467  0.3585  0.6496
O  0.0467  0.6415  0.3504
O  0.1415  0.4533  0.1496
O  0.1415  0.5467  0.8504
O  0.1496  0.1415  0.4533
O  0.1496  0.8585  0.5467
O  0.3504  0.0467  0.6415
O  0.3504  0.9533  0.3585
O  0.3585  0.3504  0.9533
O  0.3585  0.6496  0.0467
O  0.4533  0.1496  0.1415
O  0.4533  0.8504  0.8585
O  0.5467  0.1496  0.8585
O  0.5467  0.8504  0.1415
O  0.6415  0.3504  0.0467
O  0.6415  0.6496  0.9533
O  0.6496  0.0467  0.3585
O  0.6496  0.9533  0.6415
O  0.8504  0.1415  0.5467
O  0.8504  0.8585  0.4533
O  0.8585  0.4533  0.8504
O  0.8585  0.5467  0.1496
O  0.9533  0.3585  0.3504
O  0.9533  0.6415  0.6496

---

No. 2
Simulated powder diffraction line list
Compound: ZnFePd14
Radiation: Cu Kα
Structure: a GGA-PBE-relaxed structure
Peak positions follow from Bragg's law for the DFT cell and can differ from measured ones.

Top 8 peaks for 2θ from 10° to 80°, low angle first:
2θ = 38.5°, I = 32; 2θ = 39.1°, I = 20; 2θ = 39.8°, I = 46; 2θ = 42.4°, I = 100; 2θ = 42.9°, I = 37; 2θ = 48.2°, I = 17; 2θ = 67.7°, I = 18; 2θ = 74.1°, I = 17

Structural model:
a b c (Å): 9.0505 5.5347 5.5347
angles (deg): 60.97 90.00 90.00
Element x y z (fractional)
Zn  0.0000  0.0000  0.0000
Fe  0.0000  0.4954  0.4954
Pd  0.0000  0.0038  0.5053
Pd  0.0000  0.5053  0.0038
Pd  0.2381  0.3257  0.8233
Pd  0.2381  0.8233  0.3257
Pd  0.2471  0.3274  0.3274
Pd  0.2495  0.8272  0.8272
Pd  0.5000  0.1548  0.1548
Pd  0.5000  0.1562  0.6560
Pd  0.5000  0.6550  0.6550
Pd  0.5000  0.6560  0.1562
Pd  0.7505  0.8272  0.8272
Pd  0.7529  0.3274  0.3274
Pd  0.7619  0.3257  0.8233
Pd  0.7619  0.8233  0.3257

---

No. 3
Simulated powder diffraction line list
Compound: Cs2NdTiS4
Radiation: Cu Kα
Structure: a GGA-PBE-relaxed structure
Peak positions follow from Bragg's law for the DFT cell and can differ from measured ones.

Top 8 peaks for 2θ from 10° to 80°, low angle first:
2θ = 13.5°, I = 40; 2θ = 15.2°, I = 38; 2θ = 22.9°, I = 42; 2θ = 23.7°, I = 100; 2θ = 28.4°, I = 71; 2θ = 29.9°, I = 56; 2θ = 34.3°, I = 50; 2θ = 42.4°, I = 40

Structural model:
a b c (Å): 15.0270 13.4911 8.0718
angles (deg): 84.37 63.31 32.31
Element x y z (fractional)
Cs  0.0546  0.0546  0.6954
Cs  0.3046  0.3046  0.9454
Cs  0.6954  0.6954  0.0546
Cs  0.9454  0.9454  0.3046
Nd  0.1250  0.1250  0.1250
Nd  0.8750  0.8750  0.8750
Ti  0.3750  0.3750  0.3750
Ti  0.6250  0.6250  0.6250
S  0.0215  0.6297  0.5376
S  0.3112  0.5376  0.6297
S  0.3703  0.9785  0.6888
S  0.4624  0.6888  0.9785
S  0.5376  0.3112  0.0215
S  0.6297  0.0215  0.3112
S  0.6888  0.4624  0.3703
S  0.9785  0.3703  0.4624